Diffraction record for Rb2VO2F4. The powder diffraction line list is simulated, not measured: it uses a crystal structure in Alexandria, relaxed with GGA+U and Cu Kα (λ = 1.5418 Å).

Structure:
```
Rb2VO2F4
1.0
4.5786 -4.4586 0.0000
4.5786 4.4586 0.0000
0.0000 0.0000 8.4074
Rb V O F
4 2 4 8
Direct
0.2427 0.2427 0.0000 Rb
0.2427 0.2427 0.5000 Rb
0.7573 0.7573 0.0000 Rb
0.7573 0.7573 0.5000 Rb
0.2674 0.7326 0.7500 V
0.7326 0.2674 0.2500 V
0.0435 0.9565 0.7500 O
0.4545 0.5455 0.7500 O
0.5455 0.4545 0.2500 O
0.9565 0.0435 0.2500 O
0.0495 0.5361 0.7500 F
0.2329 0.7671 0.5310 F
0.2329 0.7671 0.9690 F
0.4639 0.9505 0.7500 F
0.5361 0.0495 0.2500 F
0.7671 0.2329 0.0310 F
0.7671 0.2329 0.4690 F
0.9505 0.4639 0.2500 F
```

Main lines, in order of rising 2θ (10 to 90 degrees two-theta):
| Position (°2θ) | intensity |
| --- | --- |
| 17.43 | 80 |
| 27.93 | 75 |
| 28.83 | 60 |
| 29.20 | 66 |
| 35.29 | 100 |
| 39.36 | 36 |
| 40.46 | 32 |
| 43.03 | 29 |
| 49.75 | 23 |
| 52.10 | 30 |